# 1
Structure and computed XRD peak list of ScIr3 (a PBE-relaxed structure; Cu Kα (λ = 1.5418 Å)).

The 10 most intense peaks (2θ from 10° to 90°), in order of rising 2θ:
| 2θ (°) | Rel. int. |
| --- | --- |
| 22.52 | 17.1 |
| 32.05 | 14.5 |
| 39.53 | 100.0 |
| 45.96 | 49.0 |
| 51.77 | 8.1 |
| 57.13 | 6.1 |
| 67.03 | 31.9 |
| 71.70 | 4.0 |
| 80.70 | 38.3 |
| 85.10 | 11.3 |

Cell and atoms:
Cell lengths 3.949, 3.949, 3.949 Å; angles 90.00, 90.00, 90.00 degrees
Element x y z (fractional)
Sc1 0.000 0.000 0.000
Ir1 0.000 0.500 0.500
Ir2 0.500 0.000 0.500
Ir3 0.500 0.500 0.000

# 2
Structure and computed XRD peak list of Sc2Ir (a PBE-relaxed structure; Cu Kα (λ = 1.5418 Å)).

The 10 most intense peaks (2θ from 10° to 90°), in order of rising 2θ:
| 2θ (°) | Rel. int. |
| --- | --- |
| 12.43 | 45.2 |
| 25.01 | 48.3 |
| 28.95 | 17.7 |
| 37.90 | 100.0 |
| 41.41 | 21.5 |
| 44.05 | 23.1 |
| 53.02 | 17.8 |
| 64.05 | 21.7 |
| 69.89 | 20.1 |
| 76.90 | 17.0 |

Cell and atoms:
Cell lengths 8.722, 8.722, 8.722 Å; angles 60.00, 60.00, 60.00 degrees
Element x y z (fractional)
Sc1 0.000 0.000 0.000
Sc2 0.000 0.000 0.500
Sc3 0.000 0.500 0.000
Sc4 0.187 0.187 0.563
Sc5 0.187 0.563 0.187
Sc6 0.187 0.563 0.563
Sc7 0.437 0.437 0.813
Sc8 0.437 0.813 0.437
Sc9 0.437 0.813 0.813
Sc10 0.500 0.000 0.000
Sc11 0.563 0.187 0.187
Sc12 0.563 0.187 0.563
Sc13 0.563 0.563 0.187
Sc14 0.813 0.437 0.437
Sc15 0.813 0.437 0.813
Sc16 0.813 0.813 0.437
Ir1 0.147 0.784 0.784
Ir2 0.216 0.216 0.216
Ir3 0.216 0.216 0.853
Ir4 0.216 0.853 0.216
Ir5 0.784 0.147 0.784
Ir6 0.784 0.784 0.147
Ir7 0.784 0.784 0.784
Ir8 0.853 0.216 0.216

# 3
Structure and computed XRD peak list of Sc4Ir (a PBE-relaxed structure; Cu Kα (λ = 1.5418 Å)).

The 10 most intense peaks (2θ from 10° to 90°), in order of rising 2θ:
| 2θ (°) | Rel. int. |
| --- | --- |
| 15.12 | 62.5 |
| 24.81 | 100.0 |
| 29.18 | 54.3 |
| 30.51 | 31.1 |
| 38.66 | 49.3 |
| 43.68 | 39.9 |
| 46.48 | 36.0 |
| 50.88 | 43.0 |
| 53.40 | 16.8 |
| 69.27 | 25.4 |

Cell and atoms:
Cell lengths 7.178, 7.178, 7.178 Å; angles 60.00, 60.00, 60.00 degrees
Element x y z (fractional)
Sc1 0.205 0.765 0.765
Sc2 0.235 0.235 0.235
Sc3 0.235 0.235 0.795
Sc4 0.235 0.795 0.235
Sc5 0.765 0.205 0.765
Sc6 0.765 0.765 0.205
Sc7 0.765 0.765 0.765
Sc8 0.795 0.235 0.235
Ir1 0.375 0.375 0.375
Ir2 0.625 0.625 0.625

# 4
Structure and computed XRD peak list of ScIr2 (a PBE-relaxed structure; Cu Kα (λ = 1.5418 Å)).

The 10 most intense peaks (2θ from 10° to 90°), in order of rising 2θ:
| 2θ (°) | Rel. int. |
| --- | --- |
| 20.76 | 90.4 |
| 40.36 | 100.0 |
| 42.23 | 86.7 |
| 49.17 | 33.2 |
| 53.92 | 22.9 |
| 65.42 | 31.9 |
| 72.08 | 33.3 |
| 75.95 | 17.2 |
| 86.00 | 11.6 |
| 87.24 | 34.4 |

Cell and atoms:
Cell lengths 5.241, 5.241, 5.241 Å; angles 60.00, 60.00, 60.00 degrees
Element x y z (fractional)
Sc1 0.125 0.125 0.125
Sc2 0.875 0.875 0.875
Ir1 0.000 0.500 0.500
Ir2 0.500 0.000 0.500
Ir3 0.500 0.500 0.000
Ir4 0.500 0.500 0.500

# 5
Structure and computed XRD peak list of ScIr (a PBE-relaxed structure; Cu Kα (λ = 1.5418 Å)).

The 7 most intense peaks (2θ from 10° to 90°), in order of rising 2θ:
| 2θ (°) | Rel. int. |
| --- | --- |
| 27.59 | 48.0 |
| 39.42 | 100.0 |
| 48.80 | 14.4 |
| 56.98 | 16.9 |
| 64.45 | 19.5 |
| 71.49 | 34.2 |
| 84.84 | 11.0 |

Cell and atoms:
Cell lengths 3.233, 3.233, 3.233 Å; angles 90.00, 90.00, 90.00 degrees
Element x y z (fractional)
Sc1 0.000 0.000 0.000
Ir1 0.500 0.500 0.500